Starting from a crystal structure in the Materials Project, relaxed with PBE+U, the X-ray diffraction stick pattern of CsMo2P3O13 was calculated for copper Kα.
Kinematic intensities with the Lorentz-polarization factor, no thermal factor.

Structural model:
Unit cell a=7.840 b=8.632 c=9.167 alpha=90.00 beta=100.78 gamma=90.00
Space group P2/c (No. 13)
Inequivalent atoms, fractional coordinates:
Cs  0.000  0.229  0.250 [2 per cell]
Mo  0.291  0.235  0.932 [4 per cell]
P  0.352  0.440  0.638 [4 per cell]
P  0.500  0.045  0.250 [2 per cell]
O  0.083  0.166  0.919 [4 per cell]
O  0.240  0.359  0.735 [4 per cell]
O  0.242  0.439  0.041 [4 per cell]
O  0.378  0.149  0.140 [4 per cell]
O  0.383  0.053  0.831 [4 per cell]
O  0.446  0.328  0.551 [4 per cell]
O  0.500  0.465  0.250 [2 per cell]

Most intense lines, 5 to 70 degrees two-theta, by intensity:
| Position (°2θ) | I/Imax | h k l |
| --- | --- | --- |
| 19.4 | 100 | 1 1 1 |
| 29.5 | 52 | 1 2 -2 |
| 31.6 | 39 | 0 1 3 |
| 25.6 | 38 | 2 1 -1 |
| 20.6 | 21 | 0 2 0 |
| 35.4 | 17 | 1 3 1 |
| 27.5 | 17 | 2 0 -2 |
| 23.6 | 15 | 1 2 0 |
| 20.9 | 11 | 1 0 -2 |
| 35.0 | 11 | 3 0 0 |
| 43.6 | 11 | 0 3 3 |
| 28.8 | 11 | 2 1 1 |

---

Starting from a crystal structure in the Materials Project, relaxed with PBE+U, the X-ray diffraction stick pattern of MnSiO3 was calculated for copper Kα.
Kinematic intensities with the Lorentz-polarization factor, no thermal factor.

Structural model:
Unit cell a=9.751 b=9.309 c=5.370 alpha=90.00 beta=103.11 gamma=90.00
Space group P2_1/c (No. 14)
Inequivalent atoms, fractional coordinates:
Mn  0.247  0.018  0.476 [4 per cell]
Mn  0.249  0.651  0.481 [4 per cell]
Si  0.050  0.165  0.805 [4 per cell]
Si  0.457  0.162  0.243 [4 per cell]
O  0.101  0.211  0.115 [4 per cell]
O  0.122  0.659  0.767 [4 per cell]
O  0.129  0.019  0.755 [4 per cell]
O  0.372  0.659  0.193 [4 per cell]
O  0.379  0.007  0.216 [4 per cell]
O  0.399  0.237  0.485 [4 per cell]

Most intense lines, 5 to 70 degrees two-theta, by intensity:
| Position (°2θ) | I/Imax | h k l |
| --- | --- | --- |
| 28.6 | 100 | 1 2 1 |
| 29.8 | 67 | 3 1 0 |
| 40.6 | 53 | 2 3 1 |
| 33.6 | 50 | 0 3 1 |
| 35.2 | 48 | 2 0 -2 |
| 26.8 | 37 | 2 2 0 |
| 35.3 | 29 | 3 2 -1 |
| 64.9 | 27 | 6 3 -1 |
| 18.7 | 26 | 2 0 0 |
| 54.6 | 25 | 4 3 1 |
| 13.3 | 21 | 1 1 0 |
| 55.0 | 19 | 1 2 -3 |

---

Starting from a crystal structure in the Materials Project, relaxed with PBE+U, the X-ray diffraction stick pattern of MnCoO4 was calculated for copper Kα.
Kinematic intensities with the Lorentz-polarization factor, no thermal factor.

Structural model:
Unit cell a=6.131 b=6.186 c=2.917 alpha=90.00 beta=90.00 gamma=90.00
Space group Cmmm (No. 65)
Inequivalent atoms, fractional coordinates:
Mn  0.000  0.000  0.000 [2 per cell]
Co  0.000  0.500  0.500 [2 per cell]
O  0.000  0.310  0.000 [4 per cell]
O  0.200  0.000  0.500 [4 per cell]

Most intense lines, 5 to 70 degrees two-theta, by intensity:
| Position (°2θ) | I/Imax | h k l |
| --- | --- | --- |
| 37.1 | 100 | 1 1 1 |
| 28.9 | 88 | 0 2 0 |
| 29.1 | 82 | 2 0 0 |
| 56.7 | 52 | 1 3 1 |
| 57.0 | 48 | 3 1 1 |
| 41.5 | 19 | 2 2 0 |
| 63.8 | 14 | 0 0 2 |
| 60.4 | 14 | 4 0 0 |
| 42.6 | 13 | 0 2 1 |
| 59.8 | 13 | 0 4 0 |
| 42.8 | 9 | 2 0 1 |
| 68.3 | 9 | 4 2 0 |

---

Starting from a crystal structure in the Materials Project, relaxed with PBE+U, the X-ray diffraction stick pattern of Mg2CrWO6 was calculated for copper Kα.
Kinematic intensities with the Lorentz-polarization factor, no thermal factor.

Structural model:
Unit cell a=5.186 b=5.531 c=8.987 alpha=105.74 beta=90.16 gamma=117.67
Space group P1 (No. 1)
Inequivalent atoms, fractional coordinates:
Mg  0.000  0.000  0.000 [1 per cell]
Mg  0.247  0.503  0.747 [1 per cell]
Mg  0.496  0.004  0.500 [1 per cell]
Mg  0.745  0.502  0.249 [1 per cell]
Cr  0.436  0.886  0.148 [1 per cell]
Cr  0.937  0.878  0.644 [1 per cell]
W  0.186  0.384  0.396 [1 per cell]
W  0.688  0.383  0.897 [1 per cell]
O  0.025  0.667  0.452 [1 per cell]
O  0.379  0.168  0.704 [1 per cell]
O  0.414  0.168  0.341 [1 per cell]
O  0.444  0.167  0.038 [1 per cell]
O  0.461  0.664  0.288 [1 per cell]
O  0.493  0.665  0.586 [1 per cell]
O  0.527  0.659  0.954 [1 per cell]
O  0.882  0.161  0.208 [1 per cell]
O  0.895  0.164  0.840 [1 per cell]
O  0.944  0.167  0.534 [1 per cell]
O  0.966  0.670  0.788 [1 per cell]
O  0.995  0.666  0.091 [1 per cell]

Most intense lines, 5 to 70 degrees two-theta, by intensity:
| Position (°2θ) | I/Imax | h k l |
| --- | --- | --- |
| 23.5 | 100 | 1 0 1 |
| 34.6 | 51 | 1 0 -3 |
| 20.8 | 51 | 1 -1 1 |
| 32.5 | 44 | 0 1 2 |
| 32.4 | 22 | 1 1 -1 |
| 52.9 | 21 | 1 1 3 |
| 19.0 | 20 | 0 1 0 |
| 48.1 | 19 | 0 2 -4 |
| 39.8 | 18 | 1 0 3 |
| 52.7 | 14 | 2 1 0 |
| 61.9 | 13 | 0 1 -6 |
| 60.7 | 12 | 1 0 5 |